Starting from a structure optimized by DFT (PBE), the PXRD pattern of Pu3Si3Tc was computed for Cu Kα (λ = 1.5418 Å).
Intensities are scaled so that the largest is 100.

Crystal structure
abc: 5.6838 5.6838 12.5023
angles: 90.00 90.00 136.58
Positions (direct):
1 Pu 0.0298 0.9702 0.7500
2 Pu 0.2667 0.7333 0.0974
3 Pu 0.2667 0.7333 0.4026
4 Pu 0.7333 0.2667 0.5974
5 Pu 0.7333 0.2667 0.9026
6 Pu 0.9702 0.0298 0.2500
7 Si 0.3092 0.6908 0.7500
8 Si 0.4451 0.5549 0.5942
9 Si 0.4451 0.5549 0.9058
10 Si 0.5549 0.4451 0.0942
11 Si 0.5549 0.4451 0.4058
12 Si 0.6908 0.3092 0.2500
13 Tc 0.0000 0.0000 0.0000
14 Tc 0.0000 0.0000 0.5000

Peak list (10 most intense, 2θ = 10–80°, by intensity)
2θ (°)	I_rel
31.38	100
33.97	92
33.31	65
36.83	41
43.02	34
33.19	34
55.47	32
39.79	28
23.86	27
53.28	25

Starting from a structure optimized by DFT (PBE), the PXRD pattern of Li2AcZn2 was computed for Cu Kα (λ = 1.5418 Å).
Intensities are scaled so that the largest is 100.

Crystal structure
abc: 12.6408 12.6408 12.6408
angles: 161.45 158.82 28.30
Positions (direct):
1 Li 0.0407 0.2907 0.7500
2 Li 0.4538 0.2038 0.2500
3 Li 0.5462 0.7962 0.7500
4 Li 0.9593 0.7093 0.2500
5 Ac 0.3312 0.5812 0.7500
6 Ac 0.6688 0.4188 0.2500
7 Zn 0.1120 0.8620 0.2500
8 Zn 0.2234 0.9734 0.2500
9 Zn 0.7766 0.0266 0.7500
10 Zn 0.8880 0.1380 0.7500

Peak list (10 most intense, 2θ = 10–80°, by intensity)
2θ (°)	I_rel
30.06	100
32.68	54
38.30	45
33.75	43
28.48	31
22.00	31
52.31	27
60.10	24
38.76	23
14.45	20

Starting from a structure optimized by DFT (PBE), the PXRD pattern of Hf6NbN was computed for Cu Kα (λ = 1.5418 Å).
Intensities are scaled so that the largest is 100.

Crystal structure
abc: 5.9671 5.9718 6.2428
angles: 61.49 61.57 60.03
Positions (direct):
1 Hf 0.0078 0.4191 0.2677
2 Hf 0.1950 0.9926 0.7323
3 Hf 0.4190 0.8051 0.2680
4 Hf 0.5810 0.1949 0.7320
5 Hf 0.8050 0.0074 0.2677
6 Hf 0.9922 0.5809 0.7323
7 Nb 0.5000 0.5000 0.0000
8 N 0.0000 0.0000 0.5000

Peak list (10 most intense, 2θ = 10–80°, by intensity)
2θ (°)	I_rel
34.63	100
34.42	25
35.19	24
46.22	19
29.93	15
61.78	15
66.26	12
53.14	12
69.87	12
47.99	11

Starting from a structure optimized by DFT (PBE), the PXRD pattern of CsBi5Te8 was computed for Cu Kα (λ = 1.5418 Å).
Intensities are scaled so that the largest is 100.

Crystal structure
abc: 11.8282 11.8282 11.0385
angles: 103.03 103.03 21.88
Positions (direct):
1 Cs 0.0000 0.0000 0.0000
2 Bi 0.1546 0.1546 0.4698
3 Bi 0.2046 0.2046 0.8436
4 Bi 0.4998 0.4998 0.5002
5 Bi 0.7951 0.7951 0.1566
6 Bi 0.8450 0.8450 0.5304
7 Te 0.0735 0.0735 0.6653
8 Te 0.2659 0.2659 0.3464
9 Te 0.3341 0.3341 0.9976
10 Te 0.4166 0.4166 0.6907
11 Te 0.5830 0.5830 0.3097
12 Te 0.6656 0.6656 0.0026
13 Te 0.7337 0.7337 0.6538
14 Te 0.9262 0.9262 0.3351

Peak list (10 most intense, 2θ = 10–80°, by intensity)
2θ (°)	I_rel
32.03	100
25.43	81
40.31	74
26.80	54
25.57	54
40.17	41
36.17	36
30.07	34
51.04	25
66.82	23

Starting from a structure optimized by DFT (PBE), the PXRD pattern of Er5Tl2Pb was computed for Cu Kα (λ = 1.5418 Å).
Intensities are scaled so that the largest is 100.

Crystal structure
abc: 8.9525 8.9525 8.9525
angles: 125.86 125.86 80.12
Positions (direct):
1 Er 0.0000 0.0000 0.0000
2 Er 0.0027 0.5027 0.8092
3 Er 0.1935 0.0027 0.5000
4 Er 0.3065 0.8065 0.8092
5 Er 0.4973 0.3065 0.5000
6 Er 0.5000 0.5000 0.0000
7 Er 0.5027 0.6935 0.5000
8 Er 0.6935 0.1935 0.1908
9 Er 0.8065 0.9973 0.5000
10 Er 0.9973 0.4973 0.1908
11 Tl 0.1414 0.3586 0.5000
12 Tl 0.3586 0.8586 0.2172
13 Tl 0.6414 0.1414 0.7828
14 Tl 0.8586 0.6414 0.5000
15 Pb 0.2500 0.2500 0.0000
16 Pb 0.7500 0.7500 0.0000

Peak list (10 most intense, 2θ = 10–80°, by intensity)
2θ (°)	I_rel
31.40	100
34.82	56
64.92	19
34.20	14
30.35	12
50.31	10
31.04	9
39.45	9
65.42	9
63.26	9

Starting from a structure optimized by DFT (PBE), the PXRD pattern of Ho6GeAs3S2 was computed for Cu Kα (λ = 1.5418 Å).
Intensities are scaled so that the largest is 100.

Crystal structure
abc: 9.0302 9.0302 8.0930
angles: 102.80 102.80 25.88
Positions (direct):
1 Ho 0.0008 0.0008 0.2487
2 Ho 0.3337 0.3337 0.4161
3 Ho 0.3343 0.3343 0.9180
4 Ho 0.6657 0.6657 0.0820
5 Ho 0.6663 0.6663 0.5839
6 Ho 0.9992 0.9992 0.7513
7 Ge 0.5000 0.5000 0.0000
8 As 0.1681 0.1681 0.8312
9 As 0.5000 0.5000 0.5000
10 As 0.8319 0.8319 0.1688
11 S 0.1688 0.1688 0.3377
12 S 0.8312 0.8312 0.6623

Peak list (10 most intense, 2θ = 10–80°, by intensity)
2θ (°)	I_rel
31.28	100
44.83	74
27.01	38
74.11	22
55.66	19
53.10	14
65.26	12
74.24	11
55.74	6
71.93	5

Starting from a structure optimized by DFT (PBE), the PXRD pattern of Pm4PPb2 was computed for Cu Kα (λ = 1.5418 Å).
Intensities are scaled so that the largest is 100.

Crystal structure
abc: 6.8628 6.5978 9.9584
angles: 90.00 108.96 90.00
Positions (direct):
1 Pm 0.1659 0.2500 0.0812
2 Pm 0.2618 0.9998 0.7515
3 Pm 0.2618 0.5002 0.7515
4 Pm 0.3119 0.7500 0.3720
5 Pm 0.6881 0.2500 0.6280
6 Pm 0.7382 0.0002 0.2485
7 Pm 0.7382 0.4998 0.2485
8 Pm 0.8341 0.7500 0.9188
9 P 0.4774 0.2500 0.3408
10 P 0.5226 0.7500 0.6592
11 Pb 0.1458 0.2500 0.4455
12 Pb 0.3359 0.7500 0.0491
13 Pb 0.6641 0.2500 0.9509
14 Pb 0.8542 0.7500 0.5545

Peak list (10 most intense, 2θ = 10–80°, by intensity)
2θ (°)	I_rel
33.19	100
30.48	77
30.70	49
35.58	45
27.24	33
27.48	31
31.04	29
39.24	24
19.32	24
27.03	18

Starting from a structure optimized by DFT (PBE), the PXRD pattern of Pa2VGa5 was computed for Cu Kα (λ = 1.5418 Å).
Intensities are scaled so that the largest is 100.

Crystal structure
abc: 6.2573 6.2573 7.9795
angles: 90.00 90.00 90.00
Positions (direct):
1 Pa 0.0000 0.5000 0.0000
2 Pa 0.0000 0.5000 0.5000
3 Pa 0.5000 0.0000 0.0000
4 Pa 0.5000 0.0000 0.5000
5 V 0.0000 0.0000 0.1279
6 V 0.5000 0.5000 0.6279
7 Ga 0.0000 0.0000 0.4858
8 Ga 0.2147 0.2147 0.7523
9 Ga 0.2147 0.7853 0.7523
10 Ga 0.2853 0.2853 0.2523
11 Ga 0.2853 0.7147 0.2523
12 Ga 0.5000 0.5000 0.9858
13 Ga 0.7147 0.2853 0.2523
14 Ga 0.7147 0.7147 0.2523
15 Ga 0.7853 0.2147 0.7523
16 Ga 0.7853 0.7853 0.7523

Peak list (10 most intense, 2θ = 10–80°, by intensity)
2θ (°)	I_rel
36.50	100
30.16	41
40.79	39
20.07	34
71.45	22
62.71	17
51.56	15
28.53	14
66.56	13
45.47	13